1.
For YTm2UP4, DFT lattice parameters and positions (PBE) gives the computed X-ray diffraction stick pattern in this record (Cu Kα).
Neutral-atom scattering factors, no anomalous dispersion.

Largest 8 diffraction maxima, in order of rising 2θ, 2θ from 10° to 80°:
two_theta	Rel. int.
27.6	45
27.7	44
32.0	100
45.9	61
54.3	15
54.5	29
57.0	13
76.1	17

Structural model:
Cell lengths 6.843, 3.947, 6.854 Å; angles 90.00, 109.25, 90.00 degrees
Atoms (fractional coordinates):
1 Y 0.000 0.000 0.000
2 Tm 0.500 0.000 0.500
3 Tm 0.500 0.500 0.000
4 U 0.000 0.500 0.500
5 P 0.250 0.000 0.747
6 P 0.250 0.500 0.256
7 P 0.750 0.000 0.253
8 P 0.750 0.500 0.744



2.
For TiBe6Ir, DFT lattice parameters and positions (PBE) gives the computed X-ray diffraction stick pattern in this record (Cu Kα).
Neutral-atom scattering factors, no anomalous dispersion.

Largest 8 diffraction maxima, in order of rising 2θ, 2θ from 10° to 80°:
two_theta	Rel. int.
20.3	46
28.8	100
35.5	15
41.3	23
46.4	23
51.1	50
59.8	13
67.7	18

Structural model:
Cell lengths 4.377, 4.377, 4.377 Å; angles 90.00, 90.00, 90.00 degrees
Atoms (fractional coordinates):
1 Ti 0.000 0.000 0.000
2 Be 0.000 0.500 0.258
3 Be 0.000 0.500 0.742
4 Be 0.258 0.000 0.500
5 Be 0.500 0.258 0.000
6 Be 0.500 0.742 0.000
7 Be 0.742 0.000 0.500
8 Ir 0.500 0.500 0.500



3.
For Sm2YEr7, DFT lattice parameters and positions (PBE) gives the computed X-ray diffraction stick pattern in this record (Cu Kα).
Neutral-atom scattering factors, no anomalous dispersion.

Largest 8 diffraction maxima, in order of rising 2θ, 2θ from 10° to 80°:
two_theta	Rel. int.
30.9	86
31.6	100
33.1	46
33.5	40
34.5	21
47.8	30
58.2	18
62.3	29

Structural model:
Cell lengths 9.412, 9.412, 9.412 Å; angles 146.57, 136.31, 56.11 degrees
Atoms (fractional coordinates):
1 Sm 0.198 0.198 0.000
2 Sm 0.802 0.802 0.000
3 Y 0.500 0.000 0.500
4 Er 0.000 0.000 0.000
5 Er 0.142 0.392 0.750
6 Er 0.300 0.800 0.500
7 Er 0.358 0.608 0.750
8 Er 0.642 0.392 0.250
9 Er 0.700 0.200 0.500
10 Er 0.858 0.608 0.250



4.
For CrRe2NiHg, DFT lattice parameters and positions (PBE) gives the computed X-ray diffraction stick pattern in this record (Cu Kα).
Neutral-atom scattering factors, no anomalous dispersion.

Largest 8 diffraction maxima, in order of rising 2θ, 2θ from 10° to 80°:
two_theta	Rel. int.
28.9	24
35.3	100
40.3	53
42.3	23
58.2	18
59.8	33
69.9	28
74.6	17

Structural model:
Cell lengths 4.481, 4.481, 4.272 Å; angles 90.00, 90.00, 90.00 degrees
Atoms (fractional coordinates):
1 Cr 0.000 0.000 0.000
2 Re 0.000 0.500 0.500
3 Re 0.500 0.000 0.500
4 Ni 0.000 0.000 0.500
5 Hg 0.500 0.500 0.000



5.
For SbPd9Pb2, DFT lattice parameters and positions (PBE) gives the computed X-ray diffraction stick pattern in this record (Cu Kα).
Neutral-atom scattering factors, no anomalous dispersion.

Largest 8 diffraction maxima, in order of rising 2θ, 2θ from 10° to 80°:
two_theta	Rel. int.
21.7	5
38.1	100
44.2	33
44.4	16
64.3	11
64.5	21
77.3	25
77.6	12

Structural model:
Cell lengths 4.095, 4.095, 12.235 Å; angles 90.00, 90.00, 90.00 degrees
Atoms (fractional coordinates):
1 Sb 0.000 0.000 0.000
2 Pd 0.000 0.500 0.161
3 Pd 0.000 0.500 0.500
4 Pd 0.000 0.500 0.839
5 Pd 0.500 0.000 0.161
6 Pd 0.500 0.000 0.500
7 Pd 0.500 0.000 0.839
8 Pd 0.500 0.500 0.000
9 Pd 0.500 0.500 0.331
10 Pd 0.500 0.500 0.669
11 Pb 0.000 0.000 0.332
12 Pb 0.000 0.000 0.668



6.
For YGeH2, DFT lattice parameters and positions (PBE) gives the computed X-ray diffraction stick pattern in this record (Cu Kα).
Neutral-atom scattering factors, no anomalous dispersion.

Largest 8 diffraction maxima, in order of rising 2θ, 2θ from 10° to 80°:
two_theta	Rel. int.
28.0	37
33.1	100
42.7	24
51.9	28
52.9	26
69.4	11
72.1	20
74.6	9

Structural model:
Cell lengths 4.233, 4.233, 12.739 Å; angles 90.00, 90.00, 90.00 degrees
Atoms (fractional coordinates):
1 Y 0.000 0.000 0.000
2 Y 0.000 0.500 0.250
3 Y 0.500 0.000 0.750
4 Y 0.500 0.500 0.500
5 Ge 0.000 0.000 0.500
6 Ge 0.000 0.500 0.750
7 Ge 0.500 0.000 0.250
8 Ge 0.500 0.500 0.000
9 H 0.249 0.250 0.125
10 H 0.250 0.749 0.375
11 H 0.250 0.751 0.875
12 H 0.251 0.250 0.625
13 H 0.749 0.750 0.625
14 H 0.750 0.249 0.875
15 H 0.750 0.251 0.375
16 H 0.751 0.750 0.125